Diffraction record for TlGeI2Br. The powder diffractogram is computed, not measured: it uses a GGA-PBE-relaxed structure and λ = 1.5418 Å (Cu Kα).

Crystal structure
Cell: 8.172 8.172 8.172 Å, 119.33 119.33 91.17°
Positions (direct):
Tl 0.000 0.500 0.500
Tl 0.500 0.000 0.500
Ge 0.228 0.228 0.000
Ge 0.728 0.728 0.000
I 0.061 0.561 0.123
I 0.438 0.938 0.877
I 0.561 0.438 0.500
I 0.938 0.061 0.500
Br 0.008 0.008 0.000
Br 0.508 0.508 0.000

Main lines, in order of rising 2θ (2θ from 5° to 70°):
d (Å)  two_theta  I/Imax
4.127  21.5  17
4.085  21.8  26
3.513  25.4  40
3.347  26.6  100
2.919  30.6  54
2.860  31.3  39
2.652  33.8  19
2.375  37.9  40
2.043  44.3  37
1.731  52.9  17
1.551  59.6  16
1.375  68.2  22